No. 1
Structure and theoretical powder diffractogram of Cs2AuBr5 (a crystal structure in Alexandria, relaxed with GGA-PBE; Cu Kα (λ = 1.5418 Å)).
No peak broadening, texture or thermal motion is included.

Atomic structure:
Lattice parameters (Å, degrees): 7.983 7.983 10.165 90.00 90.00 90.00
Space group I4mm (No. 107)
Asymmetric unit:
Cs 0.000 0.500 0.000 [4 per cell]
Au 0.000 0.000 0.238 [2 per cell]
Br 0.000 0.000 0.897 [2 per cell]
Br 0.222 0.222 0.255 [8 per cell]

Largest 12 diffraction maxima, in order of falling intensity, 2θ from 10° to 90°:
23.6°, rel. 100, (1 1 2); 31.7°, rel. 82, (2 2 0); 14.1°, rel. 76, (1 0 1); 28.4°, rel. 50, (2 0 2); 39.9°, rel. 42, (3 1 2); 28.6°, rel. 34, (1 0 3); 48.2°, rel. 33, (2 2 4); 45.4°, rel. 27, (4 0 0); 49.2°, rel. 25, (3 2 3); 62.0°, rel. 24, (5 1 2); 35.3°, rel. 22, (0 0 4); 41.8°, rel. 22, (3 2 1)


No. 2
Structure and theoretical powder diffractogram of Cs8Au4Br3F (a crystal structure in Alexandria, relaxed with GGA-PBE; Cu Kα (λ = 1.5418 Å)).
No peak broadening, texture or thermal motion is included.

Atomic structure:
Lattice parameters (Å, degrees): 17.833 10.237 10.312 90.00 124.86 90.00
Space group C2/m (No. 12)
Asymmetric unit:
Cs 0.001 0.227 0.275 [8 per cell]
Cs 0.247 0.000 0.746 [4 per cell]
Cs 0.249 0.500 0.748 [4 per cell]
Au 0.000 0.000 0.000 [2 per cell]
Au 0.000 0.500 0.000 [2 per cell]
Au 0.250 0.250 0.000 [4 per cell]
Br 0.000 0.500 0.500 [2 per cell]
Br 0.250 0.250 0.500 [4 per cell]
F 0.000 0.000 0.500 [2 per cell]

Largest 12 diffraction maxima, in order of falling intensity, 2θ from 10° to 90°:
24.5°, rel. 100, (2 2 -2); 34.7°, rel. 60, (2 2 2); 24.3°, rel. 53, (4 0 0); 34.9°, rel. 40, (6 2 -2); 43.1°, rel. 32, (4 4 0); 56.5°, rel. 27, (10 2 -2); 35.1°, rel. 19, (0 4 0); 26.7°, rel. 14, (4 0 -3); 20.3°, rel. 13, (2 2 -1); 10.5°, rel. 13, (0 0 1); 50.2°, rel. 13, (4 4 -4); 62.6°, rel. 12, (2 6 2)


No. 3
Structure and theoretical powder diffractogram of CsFe2AuBr8 (a crystal structure in Alexandria, relaxed with GGA-PBE; Cu Kα (λ = 1.5418 Å)).
No peak broadening, texture or thermal motion is included.

Atomic structure:
Lattice parameters (Å, degrees): 10.826 8.755 10.892 90.00 107.89 90.00
Space group C2/m (No. 12)
Asymmetric unit:
Cs 0.000 0.000 0.000 [2 per cell]
Fe 0.110 0.500 0.270 [4 per cell]
Au 0.000 0.000 0.500 [2 per cell]
Br 0.017 0.282 0.738 [8 per cell]
Br 0.198 0.500 0.100 [4 per cell]
Br 0.230 0.000 0.513 [4 per cell]

Largest 12 diffraction maxima, in order of falling intensity, 2θ from 10° to 90°:
26.6°, rel. 100, (0 2 2); 23.7°, rel. 79, (1 1 2); 14.3°, rel. 60, (1 1 -1); 19.5°, rel. 52, (1 1 -2); 20.3°, rel. 40, (0 2 0); 48.7°, rel. 40, (4 2 2); 17.2°, rel. 35, (2 0 0); 39.7°, rel. 32, (4 2 -2); 27.9°, rel. 31, (3 1 0); 34.8°, rel. 31, (4 0 0); 28.8°, rel. 30, (2 2 -2); 34.6°, rel. 28, (0 0 4)


No. 4
Structure and theoretical powder diffractogram of Cs5HAu2Br (a crystal structure in Alexandria, relaxed with GGA-PBE; Cu Kα (λ = 1.5418 Å)).
No peak broadening, texture or thermal motion is included.

Atomic structure:
Lattice parameters (Å, degrees): 5.267 15.325 10.842 90.00 104.05 90.00
Space group P2_1 (No. 4)
Asymmetric unit:
Cs 0.018 0.000 0.036 [2 per cell]
Cs 0.282 0.333 0.565 [2 per cell]
Cs 0.336 0.652 0.671 [2 per cell]
Cs 0.357 0.011 0.715 [2 per cell]
Cs 0.481 0.254 0.962 [2 per cell]
H 0.476 0.576 0.951 [2 per cell]
Au 0.106 0.326 0.212 [2 per cell]
Au 0.143 0.685 0.286 [2 per cell]
Br 0.187 0.991 0.375 [2 per cell]

Largest 12 diffraction maxima, in order of falling intensity, 2θ from 10° to 90°:
24.7°, rel. 100, (1 3 0); 29.6°, rel. 39, (1 2 -3); 34.1°, rel. 30, (2 0 -1); 24.1°, rel. 28, (1 2 1); 27.8°, rel. 19, (1 1 2); 26.1°, rel. 19, (0 1 3); 32.4°, rel. 13, (1 3 2); 55.5°, rel. 13, (3 3 -2); 35.1°, rel. 12, (0 6 0); 43.4°, rel. 12, (2 1 -4); 39.4°, rel. 10, (1 6 0); 28.0°, rel. 10, (0 2 3)